CeAu11: computed X-ray diffraction stick pattern (Cu Kα (λ = 1.5418 Å)), based on a DFT-relaxed cell (GGA-PBE, Alexandria).
Intensities are scaled so that the largest is 100.

Atomic structure:
a = 11.3459 Å, b = 11.3459 Å, c = 7.5614 Å
α = 90.00°, β = 90.00°, γ = 90.00°
Space group I4_1/amd (No. 141, origin choice 2)
Unique sites:
1 Ce 0.0000 0.2500 0.3750 x4
2 Au 0.0000 0.0000 0.0000 x8
3 Au 0.0000 0.2500 0.8750 x4
4 Au 0.1200 0.0441 0.6737 x32

Main lines, sorted by position (2θ from 15° to 90°):
(hkl)  d [Å]  2theta  I/Imax
3 2 1  2.905  30.78  22.4
3 1 2  2.603  34.46  71.1
4 2 0  2.537  35.38  54.8
1 0 3  2.460  36.52  27.3
2 1 3  2.257  39.94  39.4
5 0 1  2.173  41.55  100.0
4 2 2  2.107  42.93  36.0
5 5 2  1.477  62.92  27.9